(1)
Calculated XRD peak list
Compound: Ti4GeRhS8
Radiation: copper Kα
Structure: a crystal structure in Alexandria, relaxed with PBE

Crystal structure
Cell lengths 7.2624, 7.2624, 18.0443 Å; angles 90.00, 90.00, 120.00 degrees
Space group R3m (No. 160, hexagonal axes)
One atom of each set of equivalent atoms:
Ti 0.0000 0.0000 0.0000 [3 per cell]
Ti 0.0124 0.5062 0.1226 [9 per cell]
Ge 0.0000 0.0000 0.1592 [3 per cell]
Rh 0.0000 0.0000 0.6800 [3 per cell]
S 0.0000 0.0000 0.3806 [3 per cell]
S 0.0000 0.0000 0.8674 [3 per cell]
S 0.1702 0.3404 0.7206 [9 per cell]
S 0.1791 0.3582 0.2049 [9 per cell]

Top 10 peaks for 2θ = 10–80°, in order of rising 2θ:
index  d (Å)  I_rel
0 0 3  6.015  45
0 1 2  5.159  32
1 0 4  3.666  29
1 1 0  3.631  41
1 1 3  3.109  19
0 2 4  2.580  100
1 1 6  2.316  42
0 2 7  1.994  26
2 0 8  1.833  18
2 2 0  1.816  61

(2)
Calculated XRD peak list
Compound: GeSbRh3
Radiation: copper Kα
Structure: a crystal structure in Alexandria, relaxed with PBE

Crystal structure
Cell lengths 4.310, 7.401, 5.562 Å; angles 90.00, 90.00, 90.00 degrees
Space group Pmc2_1 (No. 26)
One atom of each set of equivalent atoms:
Ge 0.000 0.157 0.000 [2 per cell]
Sb 0.500 0.326 0.417 [2 per cell]
Rh 0.000 0.163 0.565 [2 per cell]
Rh 0.000 0.455 0.195 [2 per cell]
Rh 0.500 0.316 0.895 [2 per cell]

Top 10 peaks for 2θ = 10–80°, in order of rising 2θ:
index  d (Å)  I_rel
0 1 0  7.401  55
1 1 0  3.725  18
1 2 0  2.808  23
1 0 2  2.337  73
0 2 2  2.227  82
2 0 0  2.155  61
1 3 0  2.141  100
0 3 2  1.845  30
2 2 2  1.547  19
2 3 2  1.402  25

(3)
Calculated XRD peak list
Compound: Tb2Ge2SbRh5
Radiation: copper Kα
Structure: a crystal structure in Alexandria, relaxed with PBE

Crystal structure
Cell lengths 9.825, 9.825, 3.654 Å; angles 90.00, 90.00, 90.00 degrees
Space group P4/mbm (No. 127)
One atom of each set of equivalent atoms:
Tb 0.176 0.324 0.000 [4 per cell]
Ge 0.121 0.621 0.000 [4 per cell]
Sb 0.000 0.000 0.000 [2 per cell]
Rh 0.000 0.500 0.500 [2 per cell]
Rh 0.068 0.789 0.500 [8 per cell]

Top 10 peaks for 2θ = 10–80°, in order of rising 2θ:
index  d (Å)  I_rel
2 1 1  2.809  30
2 2 1  2.517  27
4 1 0  2.383  52
3 1 1  2.367  100
3 3 0  2.316  15
4 2 0  2.197  19
3 2 1  2.184  36
0 0 2  1.827  23
4 1 2  1.450  21
5 4 1  1.415  12

(4)
Calculated XRD peak list
Compound: ScGeRh4
Radiation: copper Kα
Structure: a crystal structure in Alexandria, relaxed with PBE

Crystal structure
Cell lengths 4.107, 4.107, 6.078 Å; angles 90.00, 90.00, 90.00 degrees
Space group P4/mmm (No. 123)
One atom of each set of equivalent atoms:
Sc 0.000 0.000 0.000 [1 per cell]
Ge 0.500 0.500 0.500 [1 per cell]
Rh 0.000 0.500 0.266 [4 per cell]

Top 10 peaks for 2θ = 10–80°, in order of rising 2θ:
index  d (Å)  I_rel
1 0 1  3.403  20
0 0 2  3.039  22
1 1 0  2.904  41
1 1 2  2.100  100
2 0 0  2.053  48
2 0 2  1.701  16
0 0 4  1.520  8
2 2 0  1.452  15
3 1 0  1.299  7
2 0 4  1.221  15

Which formula does entry 3 have?
Tb2Ge2SbRh5